Pr5Sm4: computed powder XRD pattern (copper Kα), based on a DFT-relaxed cell (GGA-PBE, Alexandria).
Kinematic intensities with the Lorentz-polarization factor, no thermal factor.

Structural model:
a b c (Å): 11.0313 11.0313 5.2005
angles (deg): 90.00 90.00 90.00
Space group I4/mmm (No. 139)
One atom of each set of equivalent atoms:
Pr 0.0000 0.0000 0.0000 (multiplicity 2)
Pr 0.0000 0.3320 0.0000 (multiplicity 8)
Sm 0.1667 0.1667 0.5000 (multiplicity 8)

Principal peaks in the range 10° ≤ 2θ ≤ 90°, sorted by position:
2theta	intensity	(hkl)
29.8	1000	3 0 1
34.5	507	3 3 0
49.6	364	6 0 0
58.9	434	6 3 1
61.8	125	6 0 2
72.7	58	6 6 0
80.5	176	9 0 1
83.1	164	9 3 0